Entry 1:
Al2NiOs: simulated X-ray diffraction stick pattern (CuKα), based on a PBE-relaxed structure.
Kinematic intensities with the Lorentz-polarization factor, no thermal factor.

Crystal structure
Unit cell a=5.928 b=5.928 c=5.928 alpha=90.00 beta=90.00 gamma=90.00
Sites, in units of the cell vectors:
Al 0.250 0.250 0.250
Al 0.250 0.250 0.750
Al 0.250 0.750 0.250
Al 0.250 0.750 0.750
Al 0.750 0.250 0.250
Al 0.750 0.250 0.750
Al 0.750 0.750 0.250
Al 0.750 0.750 0.750
Ni 0.000 0.000 0.000
Ni 0.000 0.500 0.500
Ni 0.500 0.000 0.500
Ni 0.500 0.500 0.000
Os 0.000 0.000 0.500
Os 0.000 0.500 0.000
Os 0.500 0.000 0.000
Os 0.500 0.500 0.500

Top 10 peaks for 15° ≤ 2θ ≤ 90°, in order of rising 2θ:
| d [Å] | I (rel.) |
| --- | --- |
| 3.423 | 39 |
| 2.964 | 55 |
| 2.096 | 100 |
| 1.787 | 20 |
| 1.711 | 15 |
| 1.482 | 16 |
| 1.360 | 9 |
| 1.326 | 19 |
| 1.210 | 33 |
| 1.141 | 7 |

Entry 2:
AlNi6Pd: simulated X-ray diffraction stick pattern (CuKα), based on a PBE-relaxed structure.
Kinematic intensities with the Lorentz-polarization factor, no thermal factor.

Crystal structure
Unit cell a=3.594 b=3.594 c=7.233 alpha=90.00 beta=90.00 gamma=90.00
Sites, in units of the cell vectors:
Al 0.000 0.000 0.000
Ni 0.000 0.500 0.240
Ni 0.000 0.500 0.760
Ni 0.500 0.000 0.240
Ni 0.500 0.000 0.760
Ni 0.500 0.500 0.000
Ni 0.500 0.500 0.500
Pd 0.000 0.000 0.500

Top 10 peaks for 15° ≤ 2θ ≤ 90°, in order of rising 2θ:
| d [Å] | I (rel.) |
| --- | --- |
| 3.218 | 8 |
| 2.411 | 2 |
| 2.397 | 5 |
| 2.079 | 100 |
| 2.002 | 2 |
| 1.808 | 15 |
| 1.797 | 31 |
| 1.569 | 2 |
| 1.275 | 18 |
| 1.271 | 9 |

Entry 3:
Pr2AlNi2: simulated X-ray diffraction stick pattern (CuKα), based on a PBE-relaxed structure.
Kinematic intensities with the Lorentz-polarization factor, no thermal factor.

Crystal structure
Unit cell a=4.141 b=5.482 c=8.559 alpha=90.00 beta=90.00 gamma=90.00
Sites, in units of the cell vectors:
Pr 0.000 0.000 0.205
Pr 0.000 0.000 0.795
Pr 0.500 0.500 0.295
Pr 0.500 0.500 0.705
Al 0.000 0.500 0.000
Al 0.500 0.000 0.500
Ni 0.000 0.272 0.500
Ni 0.000 0.728 0.500
Ni 0.500 0.228 0.000
Ni 0.500 0.772 0.000

Top 10 peaks for 15° ≤ 2θ ≤ 90°, in order of rising 2θ:
| d [Å] | I (rel.) |
| --- | --- |
| 3.304 | 65 |
| 2.615 | 100 |
| 2.531 | 28 |
| 2.349 | 46 |
| 2.308 | 50 |
| 2.208 | 41 |
| 2.070 | 30 |
| 1.672 | 15 |
| 1.541 | 27 |
| 1.370 | 37 |

Entry 4:
PrAl4Ni: simulated X-ray diffraction stick pattern (CuKα), based on a PBE-relaxed structure.
Kinematic intensities with the Lorentz-polarization factor, no thermal factor.

Crystal structure
Unit cell a=8.202 b=8.202 c=6.572 alpha=90.00 beta=90.00 gamma=150.57
Sites, in units of the cell vectors:
Pr 0.114 0.886 0.750
Pr 0.886 0.114 0.250
Al 0.077 0.923 0.250
Al 0.308 0.692 0.552
Al 0.308 0.692 0.948
Al 0.500 0.500 0.000
Al 0.500 0.500 0.500
Al 0.692 0.308 0.052
Al 0.692 0.308 0.448
Al 0.923 0.077 0.750
Ni 0.223 0.777 0.250
Ni 0.777 0.223 0.750

Top 10 peaks for 15° ≤ 2θ ≤ 90°, in order of rising 2θ:
| d [Å] | I (rel.) |
| --- | --- |
| 5.061 | 57 |
| 4.030 | 44 |
| 3.286 | 39 |
| 2.930 | 85 |
| 2.547 | 100 |
| 2.527 | 69 |
| 2.453 | 57 |
| 2.357 | 38 |
| 2.083 | 40 |
| 1.588 | 34 |

Entry 5:
PrAl2Ni: simulated X-ray diffraction stick pattern (CuKα), based on a PBE-relaxed structure.
Kinematic intensities with the Lorentz-polarization factor, no thermal factor.

Crystal structure
Unit cell a=4.091 b=10.928 c=6.907 alpha=90.00 beta=90.00 gamma=90.00
Sites, in units of the cell vectors:
Pr 0.000 0.057 0.250
Pr 0.000 0.943 0.750
Pr 0.500 0.443 0.750
Pr 0.500 0.557 0.250
Al 0.000 0.333 0.056
Al 0.000 0.333 0.444
Al 0.000 0.667 0.556
Al 0.000 0.667 0.944
Al 0.500 0.167 0.556
Al 0.500 0.167 0.944
Al 0.500 0.833 0.056
Al 0.500 0.833 0.444
Ni 0.000 0.217 0.750
Ni 0.000 0.783 0.250
Ni 0.500 0.283 0.250
Ni 0.500 0.717 0.750

Top 10 peaks for 15° ≤ 2θ ≤ 90°, in order of rising 2θ:
| d [Å] | I (rel.) |
| --- | --- |
| 3.831 | 66 |
| 3.453 | 50 |
| 2.565 | 92 |
| 2.540 | 67 |
| 2.531 | 100 |
| 2.045 | 29 |
| 1.760 | 28 |
| 1.757 | 33 |
| 1.593 | 31 |
| 1.232 | 19 |

Entry 6:
PrAlNi4: simulated X-ray diffraction stick pattern (CuKα), based on a PBE-relaxed structure.
Kinematic intensities with the Lorentz-polarization factor, no thermal factor.

Crystal structure
Unit cell a=5.126 b=8.499 c=4.032 alpha=90.00 beta=90.00 gamma=90.00
Sites, in units of the cell vectors:
Pr 0.000 0.000 0.000
Pr 0.500 0.500 0.000
Al 0.000 0.500 0.500
Al 0.500 0.000 0.500
Ni 0.000 0.333 0.000
Ni 0.000 0.667 0.000
Ni 0.250 0.250 0.500
Ni 0.250 0.750 0.500
Ni 0.500 0.167 0.000
Ni 0.500 0.833 0.000
Ni 0.750 0.250 0.500
Ni 0.750 0.750 0.500

Top 10 peaks for 15° ≤ 2θ ≤ 90°, in order of rising 2θ:
| d [Å] | I (rel.) |
| --- | --- |
| 4.032 | 21 |
| 2.969 | 32 |
| 2.925 | 46 |
| 2.480 | 54 |
| 2.195 | 34 |
| 2.163 | 85 |
| 2.112 | 100 |
| 2.016 | 44 |
| 1.564 | 25 |
| 1.375 | 24 |